Calculated PXRD pattern
Compound: YCoBr
Radiation: copper Kα
Structure: the PBE geometry in Alexandria
Neutral-atom scattering factors, no anomalous dispersion.

a b c (Å): 11.7807 11.7807 11.7807
angles (deg): 19.12 19.12 19.12
Element x y z (fractional)
Y 0.0539 0.0539 0.0539
Y 0.9461 0.9461 0.9461
Co 0.3351 0.3351 0.3351
Co 0.6649 0.6649 0.6649
Br 0.2239 0.2239 0.2239
Br 0.7761 0.7761 0.7761

Principal peaks in the range 2θ from 10° to 80°, by intensity:
31.99 deg, I 100; 46.40 deg, I 62; 39.01 deg, I 62; 68.32 deg, I 36; 37.09 deg, I 31; 47.14 deg, I 30

---

Calculated PXRD pattern
Compound: Y4CoBr5
Radiation: copper Kα
Structure: the PBE geometry in Alexandria
Neutral-atom scattering factors, no anomalous dispersion.

a b c (Å): 9.5289 9.5289 8.4331
angles (deg): 102.51 102.51 23.69
Element x y z (fractional)
Y 0.0009 0.0009 0.2094
Y 0.3546 0.3546 0.9222
Y 0.6454 0.6454 0.0778
Y 0.9991 0.9991 0.7906
Co 0.5000 0.5000 0.0000
Br 0.1680 0.1680 0.3370
Br 0.1775 0.1775 0.8406
Br 0.5000 0.5000 0.5000
Br 0.8225 0.8225 0.1594
Br 0.8320 0.8320 0.6630

Principal peaks in the range 2θ from 10° to 80°, by intensity:
31.19 deg, I 100; 29.46 deg, I 52; 10.76 deg, I 35; 43.36 deg, I 34; 43.51 deg, I 32; 42.90 deg, I 17

---

Calculated PXRD pattern
Compound: Cr4Br3
Radiation: copper Kα
Structure: the PBE geometry in Alexandria
Neutral-atom scattering factors, no anomalous dispersion.

a b c (Å): 3.4650 3.4650 24.9904
angles (deg): 90.00 90.00 90.00
Element x y z (fractional)
Cr 0.0000 0.0000 0.0736
Cr 0.0000 0.0000 0.3847
Cr 0.0000 0.0000 0.6153
Cr 0.0000 0.0000 0.9264
Cr 0.5000 0.5000 0.1153
Cr 0.5000 0.5000 0.4264
Cr 0.5000 0.5000 0.5736
Cr 0.5000 0.5000 0.8847
Br 0.0000 0.0000 0.1756
Br 0.0000 0.0000 0.5000
Br 0.0000 0.0000 0.8244
Br 0.5000 0.5000 0.0000
Br 0.5000 0.5000 0.3244
Br 0.5000 0.5000 0.6756

Principal peaks in the range 2θ from 10° to 80°, by intensity:
36.68 deg, I 100; 41.68 deg, I 96; 27.89 deg, I 52; 36.12 deg, I 41; 69.46 deg, I 39; 52.84 deg, I 33

---

Calculated PXRD pattern
Compound: Cr4Br5
Radiation: copper Kα
Structure: the PBE geometry in Alexandria
Neutral-atom scattering factors, no anomalous dispersion.

a b c (Å): 8.1718 8.1718 7.4198
angles (deg): 90.00 90.00 120.00
Element x y z (fractional)
Cr 0.0000 0.0000 0.0000
Cr 0.0000 0.0000 0.5000
Cr 0.0000 0.4266 0.2500
Cr 0.0000 0.5734 0.7500
Cr 0.4266 0.0000 0.2500
Cr 0.4266 0.4266 0.7500
Cr 0.5734 0.0000 0.7500
Cr 0.5734 0.5734 0.2500
Br 0.0000 0.2470 0.7500
Br 0.0000 0.7530 0.2500
Br 0.2470 0.0000 0.7500
Br 0.2470 0.2470 0.2500
Br 0.3333 0.6667 0.0000
Br 0.3333 0.6667 0.5000
Br 0.6667 0.3333 0.0000
Br 0.6667 0.3333 0.5000
Br 0.7530 0.0000 0.2500
Br 0.7530 0.7530 0.7500

Principal peaks in the range 2θ from 10° to 80°, by intensity:
32.60 deg, I 100; 35.68 deg, I 68; 38.15 deg, I 26; 50.24 deg, I 24; 49.11 deg, I 15; 33.50 deg, I 14

---

Calculated PXRD pattern
Compound: CrBr
Radiation: copper Kα
Structure: the PBE geometry in Alexandria
Neutral-atom scattering factors, no anomalous dispersion.

a b c (Å): 11.1425 3.6285 7.4871
angles (deg): 90.00 90.00 90.00
Element x y z (fractional)
Cr 0.0000 0.0433 0.0000
Cr 0.1221 0.5347 0.1682
Cr 0.3779 0.4653 0.6682
Cr 0.5000 0.9567 0.5000
Cr 0.6221 0.4653 0.6682
Cr 0.8779 0.5347 0.1682
Br 0.0000 0.5558 0.4379
Br 0.1725 0.5217 0.8369
Br 0.3275 0.4783 0.3369
Br 0.5000 0.4442 0.9379
Br 0.6725 0.4783 0.3369
Br 0.8275 0.5217 0.8369

Principal peaks in the range 2θ from 10° to 80°, by intensity:
36.64 deg, I 100; 24.53 deg, I 91; 26.79 deg, I 53; 44.82 deg, I 46; 14.25 deg, I 35; 28.73 deg, I 34

---

Calculated PXRD pattern
Compound: Cr2Br
Radiation: copper Kα
Structure: the PBE geometry in Alexandria
Neutral-atom scattering factors, no anomalous dispersion.

a b c (Å): 8.7859 3.2409 9.2849
angles (deg): 90.00 104.60 90.00
Element x y z (fractional)
Cr 0.0489 0.0000 0.3669
Cr 0.1539 0.5000 0.5715
Cr 0.3461 0.0000 0.4285
Cr 0.4511 0.5000 0.6331
Cr 0.5489 0.5000 0.3669
Cr 0.6539 0.0000 0.5715
Cr 0.8461 0.5000 0.4285
Cr 0.9511 0.0000 0.6331
Br 0.1926 0.5000 0.1964
Br 0.3074 0.0000 0.8036
Br 0.6926 0.0000 0.1964
Br 0.8074 0.5000 0.8036

Principal peaks in the range 2θ from 10° to 80°, by intensity:
40.41 deg, I 100; 42.37 deg, I 74; 34.19 deg, I 57; 25.34 deg, I 45; 37.27 deg, I 41; 42.20 deg, I 41

---

Calculated PXRD pattern
Compound: Cs2CrBr6
Radiation: copper Kα
Structure: the PBE geometry in Alexandria
Neutral-atom scattering factors, no anomalous dispersion.

a b c (Å): 7.6794 7.6794 12.7374
angles (deg): 90.00 90.00 120.00
Element x y z (fractional)
Cs 0.0000 0.0000 0.0000
Cs 0.0000 0.0000 0.5000
Cs 0.3333 0.6667 0.2495
Cs 0.6667 0.3333 0.7495
Cr 0.3333 0.6667 0.6245
Cr 0.6667 0.3333 0.1245
Br 0.0282 0.5141 0.5108
Br 0.1795 0.3590 0.7366
Br 0.1795 0.8205 0.7366
Br 0.3590 0.1795 0.2366
Br 0.4859 0.5141 0.5108
Br 0.4859 0.9718 0.5108
Br 0.5141 0.0282 0.0108
Br 0.5141 0.4859 0.0108
Br 0.6410 0.8205 0.7366
Br 0.8205 0.1795 0.2366
Br 0.8205 0.6410 0.2366
Br 0.9718 0.4859 0.0108

Principal peaks in the range 2θ from 10° to 80°, by intensity:
30.32 deg, I 100; 27.73 deg, I 34; 28.02 deg, I 31; 34.25 deg, I 29; 47.35 deg, I 27; 51.04 deg, I 23

---

Calculated PXRD pattern
Compound: Cs2Cr2Br5
Radiation: copper Kα
Structure: the PBE geometry in Alexandria
Neutral-atom scattering factors, no anomalous dispersion.

a b c (Å): 7.3995 7.3995 9.0673
angles (deg): 96.39 96.39 42.17
Element x y z (fractional)
Cs 0.0816 0.0816 0.2982
Cs 0.9184 0.9184 0.7018
Cr 0.3258 0.3258 0.1226
Cr 0.6742 0.6742 0.8774
Br 0.2059 0.2059 0.8785
Br 0.3713 0.3713 0.4004
Br 0.5000 0.5000 0.0000
Br 0.6287 0.6287 0.5996
Br 0.7941 0.7941 0.1215

Principal peaks in the range 2θ from 10° to 80°, by intensity:
26.15 deg, I 100; 28.41 deg, I 87; 26.70 deg, I 83; 33.67 deg, I 51; 34.01 deg, I 47; 43.48 deg, I 39

---

Number 7 is which compound?
Cs2CrBr6